(1)
Structure and computed XRD peak list of Na2HgPb3 (a PBE-relaxed structure; Cu Kα (weighted mean of Kα1 and Kα2)).
No peak broadening, texture or thermal motion is included.

Structural model:
```
data_Na2HgPb3
_symmetry_space_group_name_H-M 'P m m 2'
_symmetry_Int_Tables_number 25
_symmetry_space_group_name_Hall 'P 2 -2'
_cell_length_a 3.3200
_cell_length_b 5.4791
_cell_length_c 9.6319
_cell_angle_alpha 90.00
_cell_angle_beta 90.00
_cell_angle_gamma 90.00
loop_
_atom_site_label
_atom_site_fract_x
_atom_site_fract_y
_atom_site_fract_z
Na1 0.0000 0.0000 0.0000
Na2 0.0000 0.5000 0.4842
Hg1 0.5000 0.0000 0.3227
Pb1 0.5000 0.0000 0.6484
Pb2 0.5000 0.5000 0.1658
Pb3 0.5000 0.5000 0.8270
```

Main lines, by intensity (10° ≤ 2θ ≤ 90°):
- 2θ 32.32, d 2.770, rel. 100
- 2θ 32.71, d 2.737, rel. 76
- 2θ 42.50, d 2.127, rel. 76
- 2θ 18.63, d 4.762, rel. 65
- 2θ 26.85, d 3.320, rel. 63
- 2θ 32.89, d 2.724, rel. 55
- 2θ 42.80, d 2.113, rel. 38
- 2θ 18.42, d 4.816, rel. 32



(2)
Structure and computed XRD peak list of Na3Hg9Pb2 (a PBE-relaxed structure; Cu Kα (weighted mean of Kα1 and Kα2)).
No peak broadening, texture or thermal motion is included.

Structural model:
```
data_Na3Hg9Pb2
_symmetry_space_group_name_H-M 'C 1 2/m 1'
_symmetry_Int_Tables_number 12
_symmetry_space_group_name_Hall '-C 2y'
_cell_length_a 17.3872
_cell_length_b 9.3874
_cell_length_c 5.0693
_cell_angle_alpha 90.00
_cell_angle_beta 103.67
_cell_angle_gamma 90.00
loop_
_atom_site_label
_atom_site_fract_x
_atom_site_fract_y
_atom_site_fract_z
Na1 0.0000 0.0000 0.0000
Na2 0.2403 0.5000 0.7418
Hg1 0.0000 0.5000 0.0000
Hg2 0.1587 0.3311 0.1746
Hg3 0.1596 0.1546 0.6790
Pb1 0.0000 0.3121 0.5000
```

Main lines, by intensity (10° ≤ 2θ ≤ 90°):
- 2θ 31.78, d 2.816, rel. 100
- 2θ 19.93, d 4.455, rel. 89
- 2θ 35.47, d 2.531, rel. 84
- 2θ 35.05, d 2.560, rel. 69
- 2θ 40.60, d 2.222, rel. 64
- 2θ 39.47, d 2.283, rel. 53
- 2θ 10.78, d 8.206, rel. 47
- 2θ 29.88, d 2.990, rel. 44



(3)
Structure and computed XRD peak list of Na6Hg8Pb (a PBE-relaxed structure; Cu Kα (weighted mean of Kα1 and Kα2)).
No peak broadening, texture or thermal motion is included.

Structural model:
```
data_Na6Hg8Pb
_symmetry_space_group_name_H-M 'P -1'
_symmetry_Int_Tables_number 2
_symmetry_space_group_name_Hall '-P 1'
_cell_length_a 8.0216
_cell_length_b 8.0321
_cell_length_c 8.0398
_cell_angle_alpha 67.41
_cell_angle_beta 67.46
_cell_angle_gamma 67.49
loop_
_atom_site_label
_atom_site_fract_x
_atom_site_fract_y
_atom_site_fract_z
Na1 0.0869 0.3530 0.3555
Na2 0.1477 0.1443 0.9118
Na3 0.3546 0.5874 0.8530
Hg1 0.0964 0.9344 0.6518
Hg2 0.2323 0.7315 0.2311
Hg3 0.3491 0.4026 0.5654
Hg4 0.4330 0.1507 0.0981
Pb1 0.5000 0.0000 0.5000
```

Main lines, by intensity (10° ≤ 2θ ≤ 90°):
- 2θ 24.64, d 3.613, rel. 100
- 2θ 36.40, d 2.468, rel. 48
- 2θ 34.85, d 2.575, rel. 47
- 2θ 12.42, d 7.127, rel. 45
- 2θ 32.15, d 2.784, rel. 41
- 2θ 35.41, d 2.535, rel. 30
- 2θ 30.16, d 2.964, rel. 23
- 2θ 28.97, d 3.082, rel. 15



(4)
Structure and computed XRD peak list of NaHgPb (a PBE-relaxed structure; Cu Kα (weighted mean of Kα1 and Kα2)).
No peak broadening, texture or thermal motion is included.

Structural model:
```
data_NaHgPb
_symmetry_space_group_name_H-M 'I m m m'
_symmetry_Int_Tables_number 71
_symmetry_space_group_name_Hall '-I 2 2'
_cell_length_a 3.2766
_cell_length_b 6.4944
_cell_length_c 16.9434
_cell_angle_alpha 90.00
_cell_angle_beta 90.00
_cell_angle_gamma 90.00
loop_
_atom_site_label
_atom_site_fract_x
_atom_site_fract_y
_atom_site_fract_z
Na1 0.0000 0.0000 0.1555
Hg1 0.0000 0.0000 0.3352
Pb1 0.0000 0.2517 0.5000
```

Main lines, by intensity (10° ≤ 2θ ≤ 90°):
- 2θ 42.33, d 2.135, rel. 100
- 2θ 27.73, d 3.217, rel. 89
- 2θ 29.46, d 3.032, rel. 86
- 2θ 31.69, d 2.824, rel. 68
- 2θ 20.84, d 4.262, rel. 65
- 2θ 34.81, d 2.577, rel. 64
- 2θ 10.44, d 8.472, rel. 45
- 2θ 30.56, d 2.925, rel. 41



(5)
Structure and computed XRD peak list of Na3Hg4Pb4 (a PBE-relaxed structure; Cu Kα (weighted mean of Kα1 and Kα2)).
No peak broadening, texture or thermal motion is included.

Structural model:
```
data_Na3Hg4Pb4
_symmetry_space_group_name_H-M 'I m m m'
_symmetry_Int_Tables_number 71
_symmetry_space_group_name_Hall '-I 2 2'
_cell_length_a 3.5508
_cell_length_b 9.5419
_cell_length_c 18.6244
_cell_angle_alpha 90.00
_cell_angle_beta 90.00
_cell_angle_gamma 90.00
loop_
_atom_site_label
_atom_site_fract_x
_atom_site_fract_y
_atom_site_fract_z
Na1 0.0000 0.0000 0.0000
Na2 0.0000 0.5000 0.0951
Hg1 0.0000 0.0000 0.2708
Hg2 0.0000 0.2094 0.5000
Pb1 0.0000 0.3069 0.3344
```

Main lines, by intensity (10° ≤ 2θ ≤ 90°):
- 2θ 31.61, d 2.831, rel. 100
- 2θ 34.47, d 2.602, rel. 92
- 2θ 39.24, d 2.296, rel. 82
- 2θ 25.54, d 3.488, rel. 77
- 2θ 31.78, d 2.816, rel. 64
- 2θ 34.91, d 2.570, rel. 61
- 2θ 33.09, d 2.707, rel. 55
- 2θ 46.72, d 1.944, rel. 49



(6)
Structure and computed XRD peak list of Na2HgPb5 (a PBE-relaxed structure; Cu Kα (weighted mean of Kα1 and Kα2)).
No peak broadening, texture or thermal motion is included.

Structural model:
```
data_Na2HgPb5
_symmetry_space_group_name_H-M 'P b a m'
_symmetry_Int_Tables_number 55
_symmetry_space_group_name_Hall '-P 2 2ab'
_cell_length_a 7.1826
_cell_length_b 13.4982
_cell_length_c 4.7961
_cell_angle_alpha 90.00
_cell_angle_beta 90.00
_cell_angle_gamma 90.00
loop_
_atom_site_label
_atom_site_fract_x
_atom_site_fract_y
_atom_site_fract_z
Na1 0.2310 0.1192 0.0000
Hg1 0.0000 0.0000 0.5000
Pb1 0.0000 0.5000 0.5000
Pb2 0.0115 0.7497 0.5000
Pb3 0.2415 0.3726 0.0000
```

Main lines, by intensity (10° ≤ 2θ ≤ 90°):
- 2θ 31.11, d 2.875, rel. 100
- 2θ 32.44, d 2.760, rel. 91
- 2θ 36.54, d 2.459, rel. 66
- 2θ 53.36, d 1.717, rel. 45
- 2θ 37.50, d 2.398, rel. 31
- 2θ 18.04, d 4.918, rel. 29
- 2θ 61.62, d 1.505, rel. 28
- 2θ 63.98, d 1.455, rel. 26



(7)
Structure and computed XRD peak list of NaHg4Pb5 (a PBE-relaxed structure; Cu Kα (weighted mean of Kα1 and Kα2)).
No peak broadening, texture or thermal motion is included.

Structural model:
```
data_NaHg4Pb5
_symmetry_space_group_name_H-M 'P -1'
_symmetry_Int_Tables_number 2
_symmetry_space_group_name_Hall '-P 1'
_cell_length_a 5.9896
_cell_length_b 6.5394
_cell_length_c 8.4635
_cell_angle_alpha 67.32
_cell_angle_beta 74.46
_cell_angle_gamma 76.56
loop_
_atom_site_label
_atom_site_fract_x
_atom_site_fract_y
_atom_site_fract_z
Na1 0.0000 0.0000 0.0000
Hg1 0.1388 0.9824 0.3296
Hg2 0.4666 0.7320 0.0934
Pb1 0.0000 0.5000 0.0000
Pb2 0.2250 0.4162 0.5973
Pb3 0.4127 0.8157 0.6959
```

Main lines, by intensity (10° ≤ 2θ ≤ 90°):
- 2θ 31.77, d 2.816, rel. 100
- 2θ 30.64, d 2.918, rel. 43
- 2θ 31.44, d 2.845, rel. 35
- 2θ 35.68, d 2.516, rel. 34
- 2θ 32.96, d 2.717, rel. 33
- 2θ 35.45, d 2.532, rel. 30
- 2θ 26.80, d 3.327, rel. 28
- 2θ 34.46, d 2.603, rel. 27



(8)
Structure and computed XRD peak list of Na5Hg2Pb4 (a PBE-relaxed structure; Cu Kα (weighted mean of Kα1 and Kα2)).
No peak broadening, texture or thermal motion is included.

Structural model:
```
data_Na5Hg2Pb4
_symmetry_space_group_name_H-M 'P b a m'
_symmetry_Int_Tables_number 55
_symmetry_space_group_name_Hall '-P 2 2ab'
_cell_length_a 7.4934
_cell_length_b 17.4332
_cell_length_c 4.9026
_cell_angle_alpha 90.00
_cell_angle_beta 90.00
_cell_angle_gamma 90.00
loop_
_atom_site_label
_atom_site_fract_x
_atom_site_fract_y
_atom_site_fract_z
Na1 0.0000 0.0000 0.0000
Na2 0.0968 0.4122 0.0000
Na3 0.1870 0.1980 0.0000
Hg1 0.0044 0.7007 0.5000
Pb1 0.1035 0.8687 0.5000
Pb2 0.2121 0.5438 0.5000
```

Main lines, by intensity (10° ≤ 2θ ≤ 90°):
- 2θ 18.09, d 4.903, rel. 100
- 2θ 33.76, d 2.655, rel. 46
- 2θ 31.76, d 2.817, rel. 44
- 2θ 36.66, d 2.451, rel. 27
- 2θ 25.88, d 3.442, rel. 25
- 2θ 29.91, d 2.987, rel. 21
- 2θ 37.95, d 2.371, rel. 20
- 2θ 33.07, d 2.709, rel. 19



- Which formula does entry 1 have?
  Na2HgPb3